[1]
Structure and calculated PXRD pattern of Ti12In3Bi (a PBE-relaxed structure; Cu Kα, 1.54184 Å).

Peak list (12 most intense, 2θ from 10° to 90°, most intense first)
(1 2 2), d 2.148, I 100; (1 1 0), d 3.720, I 52; (3 2 2), d 1.406, I 49; (2 0 0), d 2.631, I 45; (2 1 0), d 2.353, I 35; (2 3 6), d 1.122, I 12; (3 0 2), d 1.664, I 12; (2 4 0), d 1.177, I 9; (0 2 4), d 1.860, I 8; (0 4 0), d 1.316, I 7; (3 0 4), d 1.459, I 7; (1 1 8), d 1.240, I 5

Cell and atoms:
Unit cell a=5.257 b=5.260 c=10.532 alpha=90.00 beta=90.00 gamma=90.00
Space group Pmmm (No. 47)
One atom of each set of equivalent atoms:
Ti 0.000 0.000 0.122 [2 per cell]
Ti 0.000 0.000 0.371 [2 per cell]
Ti 0.245 0.500 0.500 [2 per cell]
Ti 0.250 0.500 0.000 [2 per cell]
Ti 0.500 0.251 0.247 [4 per cell]
In 0.000 0.500 0.250 [2 per cell]
In 0.500 0.000 0.000 [1 per cell]
Bi 0.500 0.000 0.500 [1 per cell]


[2]
Structure and calculated PXRD pattern of Na2I (a PBE-relaxed structure; Cu Kα, 1.54184 Å).

Peak list (12 most intense, 2θ from 10° to 90°, most intense first)
(1 0 3), d 3.041, I 100; (0 0 2), d 6.992, I 89; (1 0 1), d 3.857, I 57; (1 1 0), d 2.838, I 45; (2 1 3), d 1.675, I 33; (1 0 5), d 2.295, I 32; (1 1 2), d 2.629, I 32; (2 1 5), d 1.510, I 17; (1 1 6), d 1.801, I 17; (2 0 0), d 2.006, I 16; (2 1 1), d 1.780, I 13; (2 0 2), d 1.929, I 13

Cell and atoms:
Unit cell a=4.013 b=4.013 c=13.984 alpha=90.00 beta=90.00 gamma=90.00
Space group I4/mmm (No. 139)
One atom of each set of equivalent atoms:
Na 0.000 0.000 0.139 [4 per cell]
I 0.000 0.000 0.500 [2 per cell]


[3]
Structure and calculated PXRD pattern of PmDyThMg (a PBE-relaxed structure; Cu Kα, 1.54184 Å).

Peak list (12 most intense, 2θ from 10° to 90°, most intense first)
(1 0 2), d 2.850, I 100; (1 1 0), d 2.553, I 37; (2 1 2), d 1.525, I 31; (1 0 1), d 3.365, I 23; (1 1 4), d 1.717, I 22; (0 0 4), d 2.321, I 14; (2 0 0), d 1.805, I 13; (2 0 4), d 1.425, I 12; (1 0 6), d 1.422, I 11; (2 1 6), d 1.117, I 11; (1 1 3), d 1.969, I 7; (1 1 1), d 2.461, I 7

Cell and atoms:
Unit cell a=3.610 b=3.610 c=9.284 alpha=90.00 beta=90.00 gamma=90.00
Space group P4mm (No. 99)
One atom of each set of equivalent atoms:
Pm 0.000 0.000 0.000 [1 per cell]
Dy 0.000 0.000 0.481 [1 per cell]
Th 0.500 0.500 0.737 [1 per cell]
Mg 0.500 0.500 0.247 [1 per cell]


[4]
Structure and calculated PXRD pattern of CsCS2O8 (a PBE-relaxed structure; Cu Kα, 1.54184 Å).

Peak list (12 most intense, 2θ from 10° to 90°, most intense first)
(2 0 -2), d 3.968, I 100; (3 1 -1), d 3.037, I 95; (1 1 0), d 4.195, I 85; (1 1 1), d 3.286, I 46; (2 0 1), d 3.381, I 36; (1 1 -2), d 2.982, I 32; (0 2 0), d 2.291, I 30; (2 0 0), d 5.192, I 27; (4 0 1), d 2.095, I 23; (3 1 1), d 2.259, I 23; (4 0 -4), d 1.985, I 21; (4 0 -1), d 2.999, I 19

Cell and atoms:
Unit cell a=12.160 b=4.585 c=8.044 alpha=90.00 beta=121.37 gamma=90.00
Space group C2/m (No. 12)
One atom of each set of equivalent atoms:
Cs 0.000 0.000 0.000 [2 per cell]
C 0.000 0.500 0.500 [2 per cell]
S 0.161 0.000 0.631 [4 per cell]
O 0.088 0.268 0.657 [8 per cell]
O 0.151 0.000 0.446 [4 per cell]
O 0.214 0.500 0.192 [4 per cell]


[5]
Structure and calculated PXRD pattern of La6AgPt5 (a PBE-relaxed structure; Cu Kα, 1.54184 Å).

Peak list (12 most intense, 2θ from 10° to 90°, most intense first)
(1 -2 2), d 2.700, I 100; (1 1 -3), d 2.527, I 61; (0 3 -1), d 2.489, I 55; (-1 2 2), d 2.505, I 54; (-2 1 1), d 2.776, I 52; (2 -4 0), d 1.846, I 16; (2 2 -2), d 1.861, I 15; (0 0 4), d 1.828, I 13; (2 -2 0), d 2.583, I 13; (0 2 1), d 2.833, I 11; (1 4 -4), d 1.449, I 9; (3 -1 1), d 1.607, I 8

Cell and atoms:
Unit cell a=5.583 b=7.954 c=8.005 alpha=102.18 beta=104.70 gamma=110.13
Space group P-1 (No. 2)
One atom of each set of equivalent atoms:
La 0.088 0.282 0.277 [2 per cell]
La 0.311 0.449 0.766 [2 per cell]
La 0.375 0.918 0.226 [2 per cell]
Ag 0.000 0.000 0.500 [1 per cell]
Pt 0.000 0.500 0.000 [1 per cell]
Pt 0.222 0.141 0.943 [2 per cell]
Pt 0.308 0.692 0.501 [2 per cell]


[6]
Structure and calculated PXRD pattern of Nd4Ni2Bi (a PBE-relaxed structure; Cu Kα, 1.54184 Å).

Peak list (12 most intense, 2θ from 10° to 90°, most intense first)
(3 3 1), d 2.970, I 100; (1 1 3), d 2.824, I 98; (4 2 2), d 2.480, I 69; (1 5 1), d 2.522, I 54; (5 1 1), d 2.508, I 50; (2 2 2), d 3.236, I 36; (2 2 0), d 4.728, I 34; (4 2 0), d 2.984, I 31; (2 4 0), d 2.996, I 28; (2 4 4), d 1.782, I 28; (4 0 4), d 1.846, I 23; (0 4 4), d 1.851, I 21

Cell and atoms:
Unit cell a=13.329 b=13.415 c=8.877 alpha=90.00 beta=90.00 gamma=90.00
Space group Fdd2 (No. 43)
One atom of each set of equivalent atoms:
Nd 0.060 0.116 0.000 [16 per cell]
Nd 0.118 0.442 0.831 [16 per cell]
Ni 0.082 0.167 0.290 [16 per cell]
Bi 0.000 0.000 0.665 [8 per cell]


[7]
Structure and calculated PXRD pattern of Mg6HgPd3 (a PBE-relaxed structure; Cu Kα, 1.54184 Å).

Peak list (12 most intense, 2θ from 10° to 90°, most intense first)
(1 3 2), d 2.372, I 100; (3 1 2), d 2.384, I 72; (0 0 2), d 3.391, I 48; (1 3 0), d 3.323, I 47; (3 1 0), d 3.352, I 38; (2 0 0), d 5.306, I 34; (2 4 0), d 2.353, I 30; (4 4 0), d 1.866, I 19; (2 4 2), d 1.933, I 18; (3 7 2), d 1.279, I 16; (7 3 2), d 1.287, I 15; (0 0 4), d 1.696, I 14

Cell and atoms:
Unit cell a=10.613 b=10.498 c=6.783 alpha=90.00 beta=90.00 gamma=90.00
Space group Cmc2_1 (No. 36)
One atom of each set of equivalent atoms:
Mg 0.000 0.146 0.000 [4 per cell]
Mg 0.000 0.146 0.478 [4 per cell]
Mg 0.161 0.500 0.489 [8 per cell]
Mg 0.240 0.252 0.239 [8 per cell]
Hg 0.000 0.353 0.738 [4 per cell]
Pd 0.000 0.359 0.239 [4 per cell]
Pd 0.143 0.005 0.739 [8 per cell]


[8]
Structure and calculated PXRD pattern of Pr3Er4Se8 (a PBE-relaxed structure; Cu Kα, 1.54184 Å).

Peak list (12 most intense, 2θ from 10° to 90°, most intense first)
(0 4 0), d 2.927, I 100; (0 4 2), d 2.069, I 49; (0 8 2), d 1.309, I 17; (4 4 0), d 1.695, I 13; (4 4 -4), d 1.685, I 13; (4 0 0), d 2.079, I 12; (4 0 -4), d 2.060, I 12; (1 1 0), d 6.768, I 10; (4 4 2), d 1.198, I 8; (8 4 -6), d 1.191, I 8; (0 8 0), d 1.464, I 8; (2 2 0), d 3.390, I 7

Cell and atoms:
Unit cell a=11.696 b=11.707 c=8.240 alpha=90.00 beta=134.69 gamma=90.00
Space group C2/m (No. 12)
One atom of each set of equivalent atoms:
Pr 0.000 0.000 0.000 [2 per cell]
Pr 0.250 0.250 0.000 [4 per cell]
Er 0.000 0.500 0.000 [2 per cell]
Er 0.000 0.500 0.500 [2 per cell]
Er 0.250 0.250 0.500 [4 per cell]
Se 0.000 0.252 0.500 [4 per cell]
Se 0.000 0.257 0.000 [4 per cell]
Se 0.240 0.500 0.994 [4 per cell]
Se 0.242 0.500 0.487 [4 per cell]